# BaCaFe4O8
Theoretical powder diffraction line list, Cu Ka. Input: a GGA+U-relaxed structure.

Principal peaks in the range 2θ from 10° to 90°, most intense first:
| 2θ/deg | Rel. int. | index |
| --- | --- | --- |
| 29.49 | 100.0 | 1 0 2 |
| 32.45 | 80.2 | 1 1 0 |
| 57.73 | 33.6 | 2 -1 4 |
| 44.41 | 32.1 | 2 0 2 |
| 56.07 | 31.1 | 2 1 2 |
| 34.46 | 26.6 | 2 -1 1 |
| 57.89 | 24.7 | 3 0 0 |
| 11.30 | 20.9 | 0 0 1 |
| 77.19 | 14.6 | 3 0 4 |
| 46.36 | 12.5 | 0 0 4 |

Cell: 5.5182 5.5182 7.8339 Å, 90.00 90.00 120.00°
Sites, in units of the cell vectors:
Ba1 0.0000 0.0000 0.0000
Ca1 0.0000 0.0000 0.5000
Fe1 0.3333 0.6667 0.2405
Fe2 0.3333 0.6667 0.7595
Fe3 0.6667 0.3333 0.2405
Fe4 0.6667 0.3333 0.7595
O1 0.0000 0.3305 0.3044
O2 0.0000 0.6695 0.6956
O3 0.3305 0.0000 0.3044
O4 0.3305 0.3305 0.6956
O5 0.3333 0.6667 0.0000
O6 0.6667 0.3333 0.0000
O7 0.6695 0.0000 0.6956
O8 0.6695 0.6695 0.3044